(1)
# Sr4Mg3Al5
Theoretical powder X-ray diffraction pattern, copper Kα. Input: DFT lattice parameters and positions (GGA-PBE).
Kinematic intensities with the Lorentz-polarization factor, no thermal factor.

a = 6.045 Å, b = 6.045 Å, c = 19.955 Å
α = 90.00°, β = 90.00°, γ = 120.00°
Sites, in units of the cell vectors:
1 Sr 0.000 0.000 0.103
2 Sr 0.000 0.000 0.397
3 Sr 0.000 0.000 0.603
4 Sr 0.000 0.000 0.897
5 Sr 0.333 0.667 0.161
6 Sr 0.333 0.667 0.339
7 Sr 0.667 0.333 0.661
8 Sr 0.667 0.333 0.839
9 Mg 0.000 0.500 0.000
10 Mg 0.000 0.500 0.500
11 Mg 0.500 0.000 0.000
12 Mg 0.500 0.000 0.500
13 Mg 0.500 0.500 0.000
14 Mg 0.500 0.500 0.500
15 Al 0.165 0.330 0.750
16 Al 0.165 0.835 0.750
17 Al 0.330 0.165 0.250
18 Al 0.333 0.667 0.640
19 Al 0.333 0.667 0.860
20 Al 0.667 0.333 0.140
21 Al 0.667 0.333 0.360
22 Al 0.670 0.835 0.750
23 Al 0.835 0.165 0.250
24 Al 0.835 0.670 0.250

Most intense lines, 5° ≤ 2θ ≤ 70°, by angle:
| d_spacing | I_rel |
| --- | --- |
| 3.174 | 20 |
| 3.023 | 74 |
| 2.807 | 71 |
| 2.596 | 21 |
| 2.585 | 100 |
| 2.532 | 32 |
| 1.701 | 31 |
| 1.647 | 25 |
| 1.587 | 25 |
| 1.511 | 23 |



(2)
# SrMg6Al
Theoretical powder X-ray diffraction pattern, copper Kα. Input: DFT lattice parameters and positions (GGA-PBE).
Kinematic intensities with the Lorentz-polarization factor, no thermal factor.

a = 5.172 Å, b = 6.843 Å, c = 6.843 Å
α = 57.25°, β = 90.00°, γ = 90.00°
Sites, in units of the cell vectors:
1 Sr 0.000 0.000 0.000
2 Mg 0.000 0.005 0.495
3 Mg 0.000 0.495 0.005
4 Mg 0.500 0.174 0.174
5 Mg 0.500 0.182 0.641
6 Mg 0.500 0.641 0.182
7 Mg 0.500 0.657 0.657
8 Al 0.000 0.488 0.488

Most intense lines, 5° ≤ 2θ ≤ 70°, by angle:
| d_spacing | I_rel |
| --- | --- |
| 5.756 | 20 |
| 3.847 | 27 |
| 2.878 | 29 |
| 2.597 | 56 |
| 2.586 | 36 |
| 2.515 | 100 |
| 1.709 | 19 |
| 1.479 | 18 |
| 1.426 | 20 |
| 1.386 | 24 |



(3)
# SrMg16Al12
Theoretical powder X-ray diffraction pattern, copper Kα. Input: DFT lattice parameters and positions (GGA-PBE).
Kinematic intensities with the Lorentz-polarization factor, no thermal factor.

a = 9.337 Å, b = 9.337 Å, c = 9.337 Å
α = 110.29°, β = 110.29°, γ = 110.29°
Sites, in units of the cell vectors:
1 Sr 0.000 0.000 0.000
2 Mg 0.061 0.061 0.661
3 Mg 0.061 0.661 0.061
4 Mg 0.091 0.758 0.758
5 Mg 0.373 0.687 0.980
6 Mg 0.373 0.980 0.687
7 Mg 0.379 0.379 0.719
8 Mg 0.379 0.719 0.379
9 Mg 0.383 0.383 0.383
10 Mg 0.661 0.061 0.061
11 Mg 0.687 0.373 0.980
12 Mg 0.687 0.980 0.373
13 Mg 0.719 0.379 0.379
14 Mg 0.758 0.091 0.758
15 Mg 0.758 0.758 0.091
16 Mg 0.980 0.373 0.687
17 Mg 0.980 0.687 0.373
18 Al 0.013 0.193 0.379
19 Al 0.013 0.379 0.193
20 Al 0.193 0.013 0.379
21 Al 0.193 0.379 0.013
22 Al 0.200 0.562 0.562
23 Al 0.379 0.013 0.193
24 Al 0.379 0.193 0.013
25 Al 0.558 0.740 0.740
26 Al 0.562 0.200 0.562
27 Al 0.562 0.562 0.200
28 Al 0.740 0.558 0.740
29 Al 0.740 0.740 0.558

Most intense lines, 5° ≤ 2θ ≤ 70°, by angle:
| d_spacing | I_rel |
| --- | --- |
| 7.662 | 26 |
| 2.554 | 56 |
| 2.545 | 36 |
| 2.517 | 100 |
| 2.474 | 99 |
| 2.303 | 46 |
| 2.207 | 17 |
| 2.188 | 21 |
| 1.459 | 26 |
| 1.431 | 15 |